(1)
# YNp6Se8
Calculated XRD peak list, λ = 1.5418 Å (Cu Kα). Input: the GGA-PBE geometry in Alexandria.
Lines closer than 0.1° are merged.

Cell: 8.1837 8.1837 8.1837 Å, 60.00 60.00 60.00°
Atoms (fractional coordinates):
Y (0.0000, 0.0000, 0.0000)
Np (0.0000, 0.0000, 0.5000)
Np (0.0000, 0.5000, 0.0000)
Np (0.0000, 0.5000, 0.5000)
Np (0.5000, 0.0000, 0.0000)
Np (0.5000, 0.0000, 0.5000)
Np (0.5000, 0.5000, 0.0000)
Se (0.2500, 0.2500, 0.2500)
Se (0.2518, 0.2518, 0.7482)
Se (0.2518, 0.7482, 0.2518)
Se (0.2518, 0.7482, 0.7482)
Se (0.7482, 0.2518, 0.2518)
Se (0.7482, 0.2518, 0.7482)
Se (0.7482, 0.7482, 0.2518)
Se (0.7500, 0.7500, 0.7500)

The 12 most intense peaks (10° ≤ 2θ ≤ 90°), by angle:
15.31 deg, rel. 15.7
21.72 deg, rel. 14.3
26.68 deg, rel. 29.5
30.91 deg, rel. 100.0
34.66 deg, rel. 9.1
38.09 deg, rel. 7.1
44.27 deg, rel. 75.2
52.44 deg, rel. 15.4
54.97 deg, rel. 26.7
64.40 deg, rel. 12.5
73.14 deg, rel. 34.6
81.48 deg, rel. 26.2

(2)
# MgRe4Se8
Calculated XRD peak list, λ = 1.5418 Å (Cu Kα). Input: the GGA-PBE geometry in Alexandria.
Lines closer than 0.1° are merged.

Cell: 7.9952 7.9952 7.9952 Å, 51.71 51.71 51.71°
Atoms (fractional coordinates):
Mg (0.0000, 0.0000, 0.0000)
Re (0.0000, 0.0000, 0.5000)
Re (0.0000, 0.5000, 0.0000)
Re (0.5000, 0.0000, 0.0000)
Re (0.5000, 0.5000, 0.5000)
Se (0.2425, 0.2425, 0.2425)
Se (0.2420, 0.7430, 0.7430)
Se (0.2570, 0.2570, 0.7580)
Se (0.2570, 0.7580, 0.2570)
Se (0.7430, 0.2420, 0.7430)
Se (0.7430, 0.7430, 0.2420)
Se (0.7580, 0.2570, 0.2570)
Se (0.7575, 0.7575, 0.7575)

The 12 most intense peaks (10° ≤ 2θ ≤ 90°), by angle:
12.82 deg, rel. 100.0
29.90 deg, rel. 30.0
34.38 deg, rel. 87.3
36.83 deg, rel. 11.9
42.78 deg, rel. 20.7
46.17 deg, rel. 36.4
52.49 deg, rel. 26.5
54.27 deg, rel. 15.9
57.68 deg, rel. 10.7
64.26 deg, rel. 14.2
77.86 deg, rel. 14.5
87.53 deg, rel. 12.6

(3)
# Na5SnP3
Calculated XRD peak list, λ = 1.5418 Å (Cu Kα). Input: the GGA-PBE geometry in Alexandria.
Lines closer than 0.1° are merged.

Cell: 8.3461 7.4733 15.7253 Å, 90.00 121.69 90.00°
Atoms (fractional coordinates):
Na (0.0044, 0.1610, 0.0821)
Na (0.0044, 0.3389, 0.5821)
Na (0.0925, 0.0038, 0.7598)
Na (0.0925, 0.4962, 0.2598)
Na (0.2523, 0.5220, 0.0880)
Na (0.2523, 0.9780, 0.5880)
Na (0.3150, 0.6428, 0.7424)
Na (0.3150, 0.8572, 0.2424)
Na (0.4113, 0.0399, 0.0888)
Na (0.4113, 0.4601, 0.5888)
Na (0.5887, 0.5399, 0.4112)
Na (0.5887, 0.9601, 0.9112)
Na (0.6850, 0.1428, 0.7576)
Na (0.6850, 0.3572, 0.2576)
Na (0.7477, 0.0220, 0.4120)
Na (0.7477, 0.4780, 0.9120)
Na (0.9075, 0.5038, 0.7402)
Na (0.9075, 0.9962, 0.2402)
Na (0.9956, 0.6610, 0.4179)
Na (0.9956, 0.8390, 0.9179)
Sn (0.3388, 0.1473, 0.4108)
Sn (0.3388, 0.3527, 0.9108)
Sn (0.6612, 0.6473, 0.0892)
Sn (0.6612, 0.8527, 0.5892)
P (0.0616, 0.2326, 0.9178)
P (0.0616, 0.2674, 0.4178)
P (0.3346, 0.7025, 0.9290)
P (0.3346, 0.7975, 0.4290)
P (0.3614, 0.2453, 0.2635)
P (0.3614, 0.2547, 0.7635)
P (0.6386, 0.7453, 0.2365)
P (0.6386, 0.7547, 0.7365)
P (0.6654, 0.2025, 0.5710)
P (0.6654, 0.2975, 0.0710)
P (0.9384, 0.7326, 0.5822)
P (0.9384, 0.7674, 0.0822)

The 12 most intense peaks (10° ≤ 2θ ≤ 90°), by angle:
12.52 deg, rel. 100.0
13.57 deg, rel. 35.1
15.92 deg, rel. 37.7
17.23 deg, rel. 40.5
17.79 deg, rel. 39.4
31.22 deg, rel. 46.8
31.62 deg, rel. 41.3
31.80 deg, rel. 34.9
33.06 deg, rel. 54.6
37.68 deg, rel. 43.2
38.23 deg, rel. 37.4
40.44 deg, rel. 59.1

(4)
# CsSn2I6
Calculated XRD peak list, λ = 1.5418 Å (Cu Kα). Input: the GGA-PBE geometry in Alexandria.
Lines closer than 0.1° are merged.

Cell: 6.1268 6.1268 12.2664 Å, 90.00 90.00 90.00°
Atoms (fractional coordinates):
Cs (0.0000, 0.0000, 0.0000)
Sn (0.5000, 0.5000, 0.2577)
Sn (0.5000, 0.5000, 0.7423)
I (0.0000, 0.5000, 0.2333)
I (0.0000, 0.5000, 0.7667)
I (0.5000, 0.0000, 0.2333)
I (0.5000, 0.0000, 0.7667)
I (0.5000, 0.5000, 0.0000)
I (0.5000, 0.5000, 0.5000)

The 12 most intense peaks (10° ≤ 2θ ≤ 90°), by angle:
14.45 deg, rel. 55.5
25.17 deg, rel. 63.2
29.14 deg, rel. 100.0
30.06 deg, rel. 13.2
32.67 deg, rel. 30.9
41.68 deg, rel. 73.1
44.34 deg, rel. 16.2
49.32 deg, rel. 26.6
51.66 deg, rel. 25.2
60.42 deg, rel. 11.6
68.46 deg, rel. 31.1
76.08 deg, rel. 22.5

(5)
# Cd2In8Ag3
Calculated XRD peak list, λ = 1.5418 Å (Cu Kα). Input: the GGA-PBE geometry in Alexandria.
Lines closer than 0.1° are merged.

Cell: 8.5591 4.5570 9.1749 Å, 90.00 114.37 90.00°
Atoms (fractional coordinates):
Cd (0.0177, 0.0000, 0.3353)
Cd (0.9823, 0.0000, 0.6647)
In (0.1972, 0.0000, 0.0991)
In (0.2110, 0.5000, 0.8462)
In (0.2855, 0.5000, 0.4012)
In (0.3374, 0.0000, 0.6494)
In (0.6626, 0.0000, 0.3506)
In (0.7145, 0.5000, 0.5988)
In (0.7890, 0.5000, 0.1538)
In (0.8028, 0.0000, 0.9009)
Ag (0.4503, 0.5000, 0.1870)
Ag (0.5000, 0.0000, 0.0000)
Ag (0.5497, 0.5000, 0.8130)

The 12 most intense peaks (10° ≤ 2θ ≤ 90°), by angle:
22.60 deg, rel. 14.1
27.72 deg, rel. 25.0
31.55 deg, rel. 13.9
34.41 deg, rel. 64.9
35.17 deg, rel. 35.0
36.71 deg, rel. 18.4
37.89 deg, rel. 100.0
39.55 deg, rel. 46.7
39.65 deg, rel. 23.1
40.38 deg, rel. 17.9
57.25 deg, rel. 15.9
70.65 deg, rel. 15.1

(6)
# SrPm2Eu
Calculated XRD peak list, λ = 1.5418 Å (Cu Kα). Input: the GGA-PBE geometry in Alexandria.
Lines closer than 0.1° are merged.

Cell: 3.7766 3.7766 10.9679 Å, 90.00 90.00 90.00°
Atoms (fractional coordinates):
Sr (0.0000, 0.0000, 0.0000)
Pm (0.5000, 0.5000, 0.2656)
Pm (0.5000, 0.5000, 0.7344)
Eu (0.0000, 0.0000, 0.5000)

The 12 most intense peaks (10° ≤ 2θ ≤ 90°), by angle:
28.70 deg, rel. 100.0
32.66 deg, rel. 16.7
33.56 deg, rel. 33.9
47.53 deg, rel. 23.4
48.19 deg, rel. 12.2
55.88 deg, rel. 12.9
57.06 deg, rel. 28.9
59.43 deg, rel. 12.0
76.84 deg, rel. 10.2
77.85 deg, rel. 5.9
80.41 deg, rel. 5.5
89.51 deg, rel. 8.1

(7)
# SrZrIn2F8
Calculated XRD peak list, λ = 1.5418 Å (Cu Kα). Input: the GGA-PBE geometry in Alexandria.
Lines closer than 0.1° are merged.

Cell: 3.8678 7.9891 6.7012 Å, 90.00 90.13 90.00°
Atoms (fractional coordinates):
Sr (0.0000, 0.0000, 0.0000)
Zr (0.0000, 0.5000, 0.0000)
In (0.5000, 0.2439, 0.5000)
In (0.5000, 0.7561, 0.5000)
F (0.0001, 0.2898, 0.1885)
F (0.9999, 0.2898, 0.8115)
F (0.0001, 0.7102, 0.1885)
F (0.9999, 0.7102, 0.8115)
F (0.4990, 0.0000, 0.7676)
F (0.5002, 0.5000, 0.1725)
F (0.4998, 0.5000, 0.8275)
F (0.5010, 0.0000, 0.2324)

The 12 most intense peaks (10° ≤ 2θ ≤ 90°), by angle:
25.97 deg, rel. 81.2
26.61 deg, rel. 100.0
32.22 deg, rel. 19.0
42.25 deg, rel. 69.6
45.41 deg, rel. 14.4
46.58 deg, rel. 17.4
46.98 deg, rel. 29.5
53.41 deg, rel. 27.9
54.46 deg, rel. 20.2
54.78 deg, rel. 8.4
67.40 deg, rel. 19.1
73.83 deg, rel. 9.9

(8)
# CsBaH6Rh
Calculated XRD peak list, λ = 1.5418 Å (Cu Kα). Input: the GGA-PBE geometry in Alexandria.
Lines closer than 0.1° are merged.

Cell: 5.5639 5.5639 5.6166 Å, 90.00 90.00 120.00°
Atoms (fractional coordinates):
Cs (0.0000, 0.0000, 0.0000)
Ba (0.3333, 0.6667, 0.4705)
H (0.3761, 0.1880, 0.4710)
H (0.5255, 0.0510, 0.8135)
H (0.5255, 0.4745, 0.8135)
H (0.8120, 0.1880, 0.4710)
H (0.8120, 0.6239, 0.4710)
H (0.9490, 0.4745, 0.8135)
Rh (0.6667, 0.3333, 0.6380)

The 12 most intense peaks (10° ≤ 2θ ≤ 90°), by angle:
24.34 deg, rel. 100.0
32.18 deg, rel. 50.7
37.05 deg, rel. 19.8
40.75 deg, rel. 25.9
45.92 deg, rel. 16.3
49.87 deg, rel. 8.5
52.43 deg, rel. 11.6
52.85 deg, rel. 23.2
57.37 deg, rel. 9.6
60.60 deg, rel. 9.4
72.39 deg, rel. 9.0
72.74 deg, rel. 9.1

(9)
# Ac2NiGe4Rh3
Calculated XRD peak list, λ = 1.5418 Å (Cu Kα). Input: the GGA-PBE geometry in Alexandria.
Lines closer than 0.1° are merged.

Cell: 4.4279 4.4279 10.0071 Å, 90.00 90.00 90.00°
Atoms (fractional coordinates):
Ac (0.0000, 0.5000, 0.2494)
Ac (0.5000, 0.0000, 0.7506)
Ni (0.5000, 0.5000, 0.0000)
Ge (0.0000, 0.0000, 0.5000)
Ge (0.0000, 0.5000, 0.8821)
Ge (0.5000, 0.0000, 0.1179)
Ge (0.5000, 0.5000, 0.5000)
Rh (0.0000, 0.0000, 0.0000)
Rh (0.0000, 0.5000, 0.6271)
Rh (0.5000, 0.0000, 0.3729)

The 12 most intense peaks (10° ≤ 2θ ≤ 90°), by angle:
21.95 deg, rel. 17.6
28.51 deg, rel. 31.3
33.64 deg, rel. 88.2
33.77 deg, rel. 100.0
40.76 deg, rel. 66.3
50.01 deg, rel. 27.2
53.84 deg, rel. 46.8
59.00 deg, rel. 22.2
63.16 deg, rel. 17.8
66.41 deg, rel. 23.3
69.72 deg, rel. 35.3
83.97 deg, rel. 13.3

(10)
# KMgTa
Calculated XRD peak list, λ = 1.5418 Å (Cu Kα). Input: the GGA-PBE geometry in Alexandria.
Lines closer than 0.1° are merged.

Cell: 4.6170 4.6170 11.9160 Å, 90.28 90.28 60.01°
Atoms (fractional coordinates):
K (0.1625, 0.1625, 0.1730)
K (0.8375, 0.8375, 0.8270)
Mg (0.4985, 0.4985, 0.3809)
Mg (0.5015, 0.5015, 0.6191)
Ta (0.1672, 0.1672, 0.5010)
Ta (0.8328, 0.8328, 0.4990)

The 12 most intense peaks (10° ≤ 2θ ≤ 90°), by angle:
14.87 deg, rel. 100.0
22.23 deg, rel. 34.8
22.38 deg, rel. 67.6
23.47 deg, rel. 39.8
26.81 deg, rel. 25.2
31.69 deg, rel. 33.5
31.82 deg, rel. 31.0
37.72 deg, rel. 25.5
39.01 deg, rel. 69.5
39.77 deg, rel. 71.0
41.93 deg, rel. 31.6
45.39 deg, rel. 46.5

(11)
# Pm2BeGa7
Calculated XRD peak list, λ = 1.5418 Å (Cu Kα). Input: the GGA-PBE geometry in Alexandria.
Lines closer than 0.1° are merged.

Cell: 4.2404 4.2404 10.6218 Å, 90.00 90.00 90.00°
Atoms (fractional coordinates):
Pm (0.0000, 0.5000, 0.2414)
Pm (0.5000, 0.0000, 0.7586)
Be (0.5000, 0.5000, 0.0000)
Ga (0.0000, 0.0000, 0.0000)
Ga (0.0000, 0.0000, 0.5000)
Ga (0.0000, 0.5000, 0.6420)
Ga (0.0000, 0.5000, 0.8753)
Ga (0.5000, 0.0000, 0.1247)
Ga (0.5000, 0.0000, 0.3580)
Ga (0.5000, 0.5000, 0.5000)

The 12 most intense peaks (10° ≤ 2θ ≤ 90°), by angle:
29.80 deg, rel. 31.4
32.96 deg, rel. 80.1
34.35 deg, rel. 100.0
42.64 deg, rel. 60.1
47.89 deg, rel. 37.2
54.92 deg, rel. 37.0
60.76 deg, rel. 11.0
61.89 deg, rel. 19.6
66.04 deg, rel. 27.6
72.73 deg, rel. 21.9
86.48 deg, rel. 12.4
87.37 deg, rel. 9.9

(12)
# GaPb3Br7
Calculated XRD peak list, λ = 1.5418 Å (Cu Kα). Input: the GGA-PBE geometry in Alexandria.
Lines closer than 0.1° are merged.

Cell: 7.4704 7.4704 7.5927 Å, 104.43 104.43 98.02°
Atoms (fractional coordinates):
Ga (0.0000, 0.0000, 0.0000)
Pb (0.2680, 0.7320, 0.5000)
Pb (0.5000, 0.5000, 0.0000)
Pb (0.7320, 0.2680, 0.5000)
Br (0.0000, 0.0000, 0.5000)
Br (0.1201, 0.5491, 0.7732)
Br (0.3373, 0.3373, 0.2670)
Br (0.4509, 0.8799, 0.2268)
Br (0.5491, 0.1201, 0.7732)
Br (0.6627, 0.6627, 0.7330)
Br (0.8799, 0.4509, 0.2268)

The 12 most intense peaks (10° ≤ 2θ ≤ 90°), by angle:
12.55 deg, rel. 50.5
19.58 deg, rel. 41.8
20.20 deg, rel. 77.9
25.51 deg, rel. 99.9
30.33 deg, rel. 42.8
31.54 deg, rel. 100.0
31.74 deg, rel. 56.2
38.22 deg, rel. 24.1
39.38 deg, rel. 40.7
40.20 deg, rel. 50.1
41.14 deg, rel. 50.7
41.78 deg, rel. 26.4